Record 1
TmB12: theoretical PXRD pattern (Cu Kα (λ = 1.5418 Å)), based on a DFT-relaxed cell (PBE, the Materials Project).
Peak positions follow from Bragg's law for the DFT cell and can differ from measured ones.

The 10 most intense peaks (2θ = 10–90°), by angle:
| 2θ (°) | d [Å] | I_rel | (hkl) |
| --- | --- | --- | --- |
| 20.6 | 4.313 | 98 | 1 1 1 |
| 23.8 | 3.735 | 73 | 2 0 0 |
| 33.9 | 2.641 | 44 | 2 2 0 |
| 40.0 | 2.252 | 100 | 3 1 1 |
| 41.9 | 2.157 | 30 | 2 2 2 |
| 53.5 | 1.714 | 34 | 3 3 1 |
| 55.0 | 1.670 | 24 | 4 2 0 |
| 60.7 | 1.525 | 29 | 4 2 2 |
| 75.3 | 1.263 | 31 | 5 3 1 |
| 76.5 | 1.245 | 21 | 6 0 0 |

Cell and atoms:
Unit cell a=7.4705 b=7.4705 c=7.4705 alpha=90.00 beta=90.00 gamma=90.00
Space group Fm-3m (No. 225)
Inequivalent atoms, fractional coordinates:
1 Tm 0.0000 0.0000 0.0000
2 B 0.0000 0.1690 0.3310


Record 2
Tm3B7W: theoretical PXRD pattern (Cu Kα (λ = 1.5418 Å)), based on a DFT-relaxed cell (PBE, the Materials Project).
Peak positions follow from Bragg's law for the DFT cell and can differ from measured ones.

The 10 most intense peaks (2θ = 10–90°), by angle:
| 2θ (°) | d [Å] | I_rel | (hkl) |
| --- | --- | --- | --- |
| 26.6 | 3.354 | 100 | 1 1 0 |
| 29.5 | 3.025 | 81 | 0 4 2 |
| 30.7 | 2.913 | 71 | 0 2 3 |
| 34.0 | 2.634 | 32 | 0 6 0 |
| 35.4 | 2.536 | 25 | 0 6 1 |
| 36.6 | 2.454 | 39 | 0 4 3 |
| 39.3 | 2.290 | 84 | 1 1 3 |
| 39.9 | 2.257 | 64 | 1 5 1 |
| 43.4 | 2.084 | 25 | 1 5 2 |
| 53.4 | 1.716 | 25 | 2 0 0 |

Cell and atoms:
Unit cell a=3.4317 b=15.8038 c=9.4025 alpha=90.00 beta=90.00 gamma=90.00
Space group Cmcm (No. 63)
Inequivalent atoms, fractional coordinates:
1 Tm 0.0000 0.1072 0.0598
2 Tm 0.0000 0.2437 0.7500
3 B 0.0000 0.2724 0.0327
4 B 0.0000 0.3651 0.1461
5 B 0.0000 0.4530 0.7500
6 B 0.0000 0.4811 0.0911
7 W 0.0000 0.0526 0.7500


Record 3
UB12: theoretical PXRD pattern (Cu Kα (λ = 1.5418 Å)), based on a DFT-relaxed cell (PBE, the Materials Project).
Peak positions follow from Bragg's law for the DFT cell and can differ from measured ones.

The 10 most intense peaks (2θ = 10–90°), by angle:
| 2θ (°) | d [Å] | I_rel | (hkl) |
| --- | --- | --- | --- |
| 20.7 | 4.301 | 100 | 1 1 1 |
| 23.9 | 3.725 | 68 | 2 0 0 |
| 34.0 | 2.634 | 46 | 2 2 0 |
| 40.1 | 2.246 | 90 | 3 1 1 |
| 42.0 | 2.150 | 27 | 2 2 2 |
| 53.6 | 1.709 | 33 | 3 3 1 |
| 55.1 | 1.666 | 25 | 4 2 0 |
| 60.9 | 1.521 | 27 | 4 2 2 |
| 75.5 | 1.259 | 30 | 5 3 1 |
| 76.8 | 1.242 | 19 | 6 0 0 |

Cell and atoms:
Unit cell a=7.4494 b=7.4494 c=7.4494 alpha=90.00 beta=90.00 gamma=90.00
Space group Fm-3m (No. 225)
Inequivalent atoms, fractional coordinates:
1 U 0.0000 0.0000 0.0000
2 B 0.0000 0.1697 0.3303


Record 4
UB2: theoretical PXRD pattern (Cu Kα (λ = 1.5418 Å)), based on a DFT-relaxed cell (PBE, the Materials Project).
Peak positions follow from Bragg's law for the DFT cell and can differ from measured ones.

The 10 most intense peaks (2θ = 10–90°), by angle:
| 2θ (°) | d [Å] | I_rel | (hkl) |
| --- | --- | --- | --- |
| 22.1 | 4.019 | 60 | 0 0 1 |
| 33.6 | 2.670 | 72 | 1 0 0 |
| 40.6 | 2.224 | 100 | 1 0 1 |
| 45.1 | 2.009 | 13 | 0 0 2 |
| 57.4 | 1.605 | 33 | 1 0 2 |
| 60.0 | 1.541 | 17 | 1 1 0 |
| 64.8 | 1.439 | 22 | 1 1 1 |
| 75.0 | 1.267 | 18 | 2 0 1 |
| 78.2 | 1.223 | 17 | 1 1 2 |
| 80.2 | 1.197 | 15 | 1 0 3 |

Cell and atoms:
Unit cell a=3.0825 b=3.0825 c=4.0186 alpha=90.00 beta=90.00 gamma=120.00
Space group P6/mmm (No. 191)
Inequivalent atoms, fractional coordinates:
1 U 0.0000 0.0000 0.0000
2 B 0.3333 0.6667 0.5000


Record 5
UVB4: theoretical PXRD pattern (Cu Kα (λ = 1.5418 Å)), based on a DFT-relaxed cell (PBE, the Materials Project).
Peak positions follow from Bragg's law for the DFT cell and can differ from measured ones.

The 10 most intense peaks (2θ = 10–90°), by angle:
| 2θ (°) | d [Å] | I_rel | (hkl) |
| --- | --- | --- | --- |
| 21.6 | 4.111 | 44 | 1 2 0 |
| 25.1 | 3.549 | 70 | 0 0 1 |
| 27.8 | 3.204 | 40 | 1 3 0 |
| 31.3 | 2.861 | 83 | 2 1 0 |
| 33.4 | 2.686 | 37 | 1 2 1 |
| 37.8 | 2.378 | 43 | 1 3 1 |
| 40.5 | 2.227 | 100 | 2 1 1 |
| 43.4 | 2.084 | 21 | 1 4 1 |
| 57.1 | 1.612 | 20 | 2 5 1 |
| 61.5 | 1.508 | 25 | 2 1 2 |

Cell and atoms:
Unit cell a=5.9121 b=11.4393 c=3.5485 alpha=90.00 beta=90.00 gamma=90.00
Space group Pbam (No. 55)
Inequivalent atoms, fractional coordinates:
1 U 0.1250 0.1511 0.0000
2 V 0.1276 0.4154 0.0000
3 B 0.0278 0.6926 0.5000
4 B 0.1151 0.5468 0.5000
5 B 0.1339 0.9669 0.5000
6 B 0.2154 0.8132 0.5000


Record 6
U2B6W: theoretical PXRD pattern (Cu Kα (λ = 1.5418 Å)), based on a DFT-relaxed cell (PBE, the Materials Project).
Peak positions follow from Bragg's law for the DFT cell and can differ from measured ones.

The 10 most intense peaks (2θ = 10–90°), by angle:
| 2θ (°) | d [Å] | I_rel | (hkl) |
| --- | --- | --- | --- |
| 24.2 | 3.685 | 100 | 0 0 1 |
| 29.9 | 2.985 | 47 | 3 1 0 |
| 30.4 | 2.937 | 38 | 2 3 0 |
| 31.4 | 2.846 | 22 | 0 4 0 |
| 32.9 | 2.720 | 28 | 1 4 0 |
| 38.8 | 2.320 | 59 | 3 1 1 |
| 39.2 | 2.297 | 45 | 2 3 1 |
| 40.0 | 2.252 | 27 | 0 4 1 |
| 41.3 | 2.188 | 35 | 1 4 1 |
| 66.0 | 1.416 | 22 | 2 7 1 |

Cell and atoms:
Unit cell a=9.2812 b=11.3830 c=3.6850 alpha=90.00 beta=90.00 gamma=90.00
Space group Pbam (No. 55)
Inequivalent atoms, fractional coordinates:
1 U 0.0437 0.1051 0.0000
2 U 0.1657 0.4076 0.0000
3 B 0.0151 0.2815 0.5000
4 B 0.0499 0.5666 0.5000
5 B 0.1415 0.9606 0.5000
6 B 0.1441 0.8128 0.5000
7 B 0.1961 0.2273 0.5000
8 B 0.2437 0.5757 0.5000
9 W 0.1449 0.6797 0.0000


Record 7
VB: theoretical PXRD pattern (Cu Kα (λ = 1.5418 Å)), based on a DFT-relaxed cell (PBE, the Materials Project).
Peak positions follow from Bragg's law for the DFT cell and can differ from measured ones.

The 10 most intense peaks (2θ = 10–90°), by angle:
| 2θ (°) | d [Å] | I_rel | (hkl) |
| --- | --- | --- | --- |
| 31.3 | 2.854 | 37 | 1 1 0 |
| 37.7 | 2.388 | 79 | 0 2 1 |
| 44.0 | 2.058 | 100 | 1 1 1 |
| 45.0 | 2.013 | 62 | 1 3 0 |
| 45.1 | 2.009 | 22 | 0 4 0 |
| 55.2 | 1.665 | 30 | 0 4 1 |
| 60.7 | 1.526 | 15 | 2 0 0 |
| 73.7 | 1.286 | 19 | 2 2 1 |
| 73.9 | 1.282 | 19 | 1 5 1 |
| 80.4 | 1.195 | 26 | 1 3 2 |

Cell and atoms:
Unit cell a=3.0529 b=8.0347 c=2.9693 alpha=90.00 beta=90.00 gamma=90.00
Space group Cmcm (No. 63)
Inequivalent atoms, fractional coordinates:
1 V 0.0000 0.1477 0.2500
2 B 0.0000 0.4375 0.2500


Record 8
V3B4: theoretical PXRD pattern (Cu Kα (λ = 1.5418 Å)), based on a DFT-relaxed cell (PBE, the Materials Project).
Peak positions follow from Bragg's law for the DFT cell and can differ from measured ones.

The 10 most intense peaks (2θ = 10–90°), by angle:
| 2θ (°) | d [Å] | I_rel | (hkl) |
| --- | --- | --- | --- |
| 30.1 | 2.965 | 35 | 0 1 1 |
| 36.4 | 2.470 | 82 | 1 0 3 |
| 40.9 | 2.205 | 25 | 0 0 6 |
| 44.7 | 2.027 | 100 | 1 1 2 |
| 45.4 | 1.996 | 65 | 0 1 5 |
| 57.8 | 1.596 | 16 | 1 0 7 |
| 60.9 | 1.521 | 16 | 0 2 0 |
| 72.4 | 1.306 | 18 | 1 1 8 |
| 73.0 | 1.295 | 18 | 1 2 3 |
| 80.4 | 1.194 | 21 | 2 1 5 |

Cell and atoms:
Unit cell a=2.9811 b=3.0430 c=13.2270 alpha=90.00 beta=90.00 gamma=90.00
Space group Immm (No. 71)
Inequivalent atoms, fractional coordinates:
1 V 0.0000 0.0000 0.0000
2 V 0.0000 0.5000 0.3125
3 B 0.0000 0.0000 0.4345
4 B 0.0000 0.5000 0.1364


Record 9
V3B2: theoretical PXRD pattern (Cu Kα (λ = 1.5418 Å)), based on a DFT-relaxed cell (PBE, the Materials Project).
Peak positions follow from Bragg's law for the DFT cell and can differ from measured ones.

The 10 most intense peaks (2θ = 10–90°), by angle:
| 2θ (°) | d [Å] | I_rel | (hkl) |
| --- | --- | --- | --- |
| 35.0 | 2.563 | 54 | 2 1 0 |
| 37.1 | 2.420 | 44 | 1 1 1 |
| 43.6 | 2.078 | 100 | 2 0 1 |
| 44.7 | 2.026 | 28 | 2 2 0 |
| 46.5 | 1.953 | 78 | 2 1 1 |
| 50.4 | 1.812 | 46 | 3 1 0 |
| 61.4 | 1.509 | 17 | 0 0 2 |
| 75.3 | 1.262 | 18 | 4 1 1 |
| 77.4 | 1.233 | 24 | 3 3 1 |
| 83.3 | 1.160 | 18 | 3 1 2 |

Cell and atoms:
Unit cell a=5.7305 b=5.7305 c=3.0178 alpha=90.00 beta=90.00 gamma=90.00
Space group P4/mbm (No. 127)
Inequivalent atoms, fractional coordinates:
1 V 0.0000 0.0000 0.0000
2 V 0.1783 0.3217 0.5000
3 B 0.1106 0.6106 0.0000